Diffraction record for NaScB4H16. The powder diffractogram is theoretical, not measured: it uses a cell relaxed with PBE and CuKα.

The 10 most intense peaks (2θ = 10–90°), by angle:
| two_theta | d_spacing | I (rel.) | (hkl) |
| --- | --- | --- | --- |
| 16.6 | 5.341 | 100 | 1 1 1 |
| 18.1 | 4.892 | 66 | 0 2 1 |
| 21.6 | 4.114 | 37 | 2 0 0 |
| 24.3 | 3.667 | 60 | 1 1 2 |
| 25.1 | 3.551 | 33 | 1 3 0 |
| 28.3 | 3.148 | 19 | 2 2 1 |
| 33.5 | 2.672 | 15 | 2 2 2 |
| 36.7 | 2.446 | 16 | 0 4 2 |
| 40.1 | 2.251 | 20 | 3 3 0 |
| 43.0 | 2.103 | 33 | 2 4 2 |

Crystal structure
```
data_NaScB4H16
_chemical_formula_sum 'Na4 Sc4 B16 H64'
_symmetry_space_group_name_H-M 'C m c m'
_symmetry_Int_Tables_number 63
_symmetry_space_group_name_Hall '-C 2c 2'
_cell_length_a 8.2270
_cell_length_b 11.8111
_cell_length_c 8.7349
_cell_angle_alpha 90.00
_cell_angle_beta 90.00
_cell_angle_gamma 90.00
loop_
_atom_site_label
_atom_site_fract_x
_atom_site_fract_y
_atom_site_fract_z
_atom_site_occupancy
Na1 0.0000 0.0000 0.0000 1
Sc1 0.0000 0.3593 0.2500 1
B1 0.0000 0.2483 0.0335 1
B2 0.2302 0.4737 0.2500 1
H1 0.0000 0.1926 0.5818 1
H2 0.0000 0.3504 0.0018 1
H3 0.1210 0.2316 0.1150 1
H4 0.1456 0.4928 0.1364 1
H5 0.1491 0.0320 0.2500 1
H6 0.2370 0.1285 0.7500 1
```